Record 1
Structure and simulated XRD peak list of PmTm3Zn4 (a structure optimized by DFT (GGA-PBE); CuKα).

Cell: 5.0066 5.0066 7.1776 Å, 90.00 90.00 90.00°
Space group P4/mmm (No. 123)
Symmetry-distinct sites (fractional):
1 Pm 0.0000 0.0000 0.0000 (multiplicity 1)
2 Tm 0.0000 0.0000 0.5000 (multiplicity 1)
3 Tm 0.5000 0.5000 0.0000 (multiplicity 1)
4 Tm 0.5000 0.5000 0.5000 (multiplicity 1)
5 Zn 0.0000 0.5000 0.2604 (multiplicity 4)

Peak list (8 most intense, 10 to 80 degrees two-theta, low angle first)
- hkl 0 0 2, 24.81 deg, d = 3.589 Å, I = 9.6
- hkl 1 1 0, 25.16 deg, d = 3.540 Å, I = 18.4
- hkl 1 1 2, 35.62 deg, d = 2.520 Å, I = 100.0
- hkl 2 0 0, 35.87 deg, d = 2.503 Å, I = 49.3
- hkl 2 2 0, 51.64 deg, d = 1.770 Å, I = 17.3
- hkl 2 0 4, 63.82 deg, d = 1.458 Å, I = 17.7
- hkl 3 1 2, 64.31 deg, d = 1.449 Å, I = 35.2
- hkl 2 2 4, 75.43 deg, d = 1.260 Å, I = 10.8



Record 2
Structure and simulated XRD peak list of La2PmDyEr (a structure optimized by DFT (GGA-PBE); CuKα).

Cell: 6.5244 16.6476 6.5221 Å, 90.00 90.00 90.00°
Space group Cmcm (No. 63)
Symmetry-distinct sites (fractional):
1 La 0.2504 0.0000 0.0000 (multiplicity 8)
2 Pm 0.0000 0.1592 0.2500 (multiplicity 4)
3 Dy 0.0000 0.3427 0.2500 (multiplicity 4)
4 Er 0.0000 0.2511 0.7500 (multiplicity 4)

Peak list (8 most intense, 10 to 80 degrees two-theta, low angle first)
- hkl 1 3 1, 25.10 deg, d = 3.547 Å, I = 21.4
- hkl 2 2 0, 29.41 deg, d = 3.037 Å, I = 100.0
- hkl 1 5 1, 33.18 deg, d = 2.700 Å, I = 49.0
- hkl 2 4 0, 34.95 deg, d = 2.567 Å, I = 19.7
- hkl 2 0 2, 39.06 deg, d = 2.306 Å, I = 41.0
- hkl 3 5 1, 52.16 deg, d = 1.754 Å, I = 28.6
- hkl 2 10 0, 62.66 deg, d = 1.483 Å, I = 20.0
- hkl 4 2 2, 64.90 deg, d = 1.437 Å, I = 21.6



Record 3
Structure and simulated XRD peak list of Sr2UPaS6 (a structure optimized by DFT (GGA-PBE); CuKα).

Cell: 7.4790 7.4790 5.3450 Å, 90.00 90.00 90.00°
Space group P4mm (No. 99)
Symmetry-distinct sites (fractional):
1 Sr 0.0000 0.5000 0.0000 (multiplicity 2)
2 U 0.0000 0.0000 0.6675 (multiplicity 1)
3 Pa 0.5000 0.5000 0.6648 (multiplicity 1)
4 S 0.0000 0.0000 0.1710 (multiplicity 1)
5 S 0.2517 0.2517 0.7097 (multiplicity 4)
6 S 0.5000 0.5000 0.1745 (multiplicity 1)

Peak list (8 most intense, 10 to 80 degrees two-theta, low angle first)
- hkl 0 0 1, 16.59 deg, d = 5.345 Å, I = 51.3
- hkl 1 1 0, 16.76 deg, d = 5.288 Å, I = 53.6
- hkl 1 1 1, 23.67 deg, d = 3.759 Å, I = 100.0
- hkl 2 0 0, 23.79 deg, d = 3.739 Å, I = 62.8
- hkl 2 2 0, 33.90 deg, d = 2.644 Å, I = 56.7
- hkl 1 1 2, 37.71 deg, d = 2.385 Å, I = 48.6
- hkl 2 2 1, 37.99 deg, d = 2.368 Å, I = 40.3
- hkl 3 1 1, 41.76 deg, d = 2.163 Å, I = 47.4



Record 4
Structure and simulated XRD peak list of CsTiFeCl6 (a structure optimized by DFT (GGA-PBE); CuKα).

Cell: 6.4813 6.4840 7.7860 Å, 89.92 89.99 60.05°
Space group P1 (No. 1)
Symmetry-distinct sites (fractional):
1 Cs 0.0000 0.0000 0.0000 (multiplicity 1)
2 Ti 0.3333 0.3326 0.5000 (multiplicity 1)
3 Fe 0.6668 0.6661 0.5000 (multiplicity 1)
4 Cl 0.0064 0.3762 0.3204 (multiplicity 1)
5 Cl 0.0065 0.6185 0.6789 (multiplicity 1)
6 Cl 0.3784 0.0062 0.6805 (multiplicity 1)
7 Cl 0.3777 0.6161 0.3198 (multiplicity 1)
8 Cl 0.6164 0.3775 0.6801 (multiplicity 1)
9 Cl 0.6169 0.0063 0.3202 (multiplicity 1)

Peak list (8 most intense, 10 to 80 degrees two-theta, low angle first)
- hkl 1 1 -1, 19.49 deg, d = 4.555 Å, I = 100.0
- hkl 1 2 1, 29.85 deg, d = 2.993 Å, I = 25.1
- hkl 0 2 -1, 33.94 deg, d = 2.641 Å, I = 13.7
- hkl 1 2 -2, 36.05 deg, d = 2.491 Å, I = 55.3
- hkl 3 2 1, 44.23 deg, d = 2.048 Å, I = 22.1
- hkl 2 0 3, 47.72 deg, d = 1.906 Å, I = 15.1
- hkl 3 3 0, 48.64 deg, d = 1.872 Å, I = 16.2
- hkl 2 1 -4, 55.03 deg, d = 1.669 Å, I = 12.9



Record 5
Structure and simulated XRD peak list of CsSn12Au3 (a structure optimized by DFT (GGA-PBE); CuKα).

Cell: 9.2480 9.2480 20.7649 Å, 90.00 90.00 120.00°
Space group R3m (No. 160, hexagonal axes)
Symmetry-distinct sites (fractional):
1 Cs 0.0000 0.0000 0.0000 (multiplicity 3)
2 Sn 0.0848 0.5424 0.4932 (multiplicity 9)
3 Sn 0.0904 0.5452 0.0358 (multiplicity 9)
4 Sn 0.0992 0.5496 0.2300 (multiplicity 9)
5 Sn 0.1672 0.3344 0.1382 (multiplicity 9)
6 Au 0.1093 0.2186 0.6953 (multiplicity 9)

Peak list (8 most intense, 10 to 80 degrees two-theta, low angle first)
- hkl 1 0 1, 11.84 deg, d = 7.472 Å, I = 69.7
- hkl 0 2 4, 28.14 deg, d = 3.171 Å, I = 29.1
- hkl 2 1 1, 29.83 deg, d = 2.995 Å, I = 44.5
- hkl 3 0 0, 33.57 deg, d = 2.670 Å, I = 100.0
- hkl 0 0 9, 39.01 deg, d = 2.309 Å, I = 33.8
- hkl 2 1 7, 42.68 deg, d = 2.119 Å, I = 30.0
- hkl 0 3 6, 42.78 deg, d = 2.114 Å, I = 43.0
- hkl 0 3 9, 52.41 deg, d = 1.746 Å, I = 36.5



Record 6
Structure and simulated XRD peak list of Pm3Ge2Pt (a structure optimized by DFT (GGA-PBE); CuKα).

Cell: 11.8795 4.3795 11.6959 Å, 90.00 90.00 90.00°
Space group Pnma (No. 62)
Symmetry-distinct sites (fractional):
1 Pm 0.0560 0.2500 0.1273 (multiplicity 4)
2 Pm 0.1199 0.7500 0.5582 (multiplicity 4)
3 Pm 0.2162 0.2500 0.8085 (multiplicity 4)
4 Ge 0.0140 0.7500 0.3089 (multiplicity 4)
5 Ge 0.1886 0.7500 0.0023 (multiplicity 4)
6 Pt 0.1281 0.2500 0.3710 (multiplicity 4)

Peak list (8 most intense, 10 to 80 degrees two-theta, low angle first)
- hkl 1 0 1, 10.61 deg, d = 8.334 Å, I = 31.9
- hkl 2 1 2, 29.59 deg, d = 3.019 Å, I = 39.1
- hkl 0 1 3, 30.70 deg, d = 2.912 Å, I = 82.6
- hkl 1 0 4, 31.51 deg, d = 2.839 Å, I = 26.5
- hkl 3 1 2, 34.16 deg, d = 2.625 Å, I = 100.0
- hkl 4 1 1, 37.38 deg, d = 2.405 Å, I = 52.2
- hkl 2 1 4, 40.07 deg, d = 2.250 Å, I = 48.1
- hkl 0 2 0, 41.23 deg, d = 2.190 Å, I = 55.9



Record 7
Structure and simulated XRD peak list of Tm3GaSe (a structure optimized by DFT (GGA-PBE); CuKα).

Cell: 9.0613 6.2679 9.9444 Å, 90.00 115.87 90.00°
Space group P2_1/c (No. 14)
Symmetry-distinct sites (fractional):
1 Tm 0.1198 0.0680 0.3583 (multiplicity 4)
2 Tm 0.2379 0.5814 0.5551 (multiplicity 4)
3 Tm 0.3727 0.0914 0.7989 (multiplicity 4)
4 Ga 0.4490 0.6549 0.9000 (multiplicity 4)
5 Se 0.0699 0.2396 0.5933 (multiplicity 4)

Peak list (8 most intense, 10 to 80 degrees two-theta, low angle first)
- hkl 3 0 -2, 30.14 deg, d = 2.965 Å, I = 35.2
- hkl 1 1 -3, 30.60 deg, d = 2.921 Å, I = 100.0
- hkl 2 1 1, 31.25 deg, d = 2.863 Å, I = 56.3
- hkl 2 2 -2, 36.40 deg, d = 2.468 Å, I = 12.3
- hkl 2 1 -4, 39.25 deg, d = 2.296 Å, I = 17.1
- hkl 1 0 4, 46.55 deg, d = 1.951 Å, I = 12.4
- hkl 0 3 2, 48.06 deg, d = 1.893 Å, I = 17.1
- hkl 1 3 2, 51.54 deg, d = 1.773 Å, I = 12.8